Entry 1:
Structure and calculated X-ray powder pattern of Ba2ErSnO6 (a crystal structure in Alexandria, relaxed with PBE; copper Kα).
Neutral-atom scattering factors, no anomalous dispersion.

Largest 10 diffraction maxima, low angle first, 10° ≤ 2θ ≤ 80°:
Position (°2θ)	Rel. int.
17.87	1
20.66	2
29.38	100
34.60	1
36.19	1
42.03	30
52.11	42
60.96	19
69.09	18
76.81	6

Cell and atoms:
```
Ba2ErSnO6
1.0
0.000 4.299 4.299
4.299 0.000 4.299
4.299 4.299 0.000
Ba Er Sn O
2 1 1 6
Cartesian
2.149 2.149 2.149
6.448 6.448 6.448
0.000 0.000 0.000
4.299 4.299 4.299
4.299 4.299 2.215
4.299 2.215 4.299
6.383 4.299 4.299
2.215 4.299 4.299
4.299 6.383 4.299
4.299 4.299 6.383
```

Entry 2:
Structure and calculated X-ray powder pattern of KVSe2 (a crystal structure in Alexandria, relaxed with PBE; copper Kα).
Neutral-atom scattering factors, no anomalous dispersion.

Largest 10 diffraction maxima, low angle first, 10° ≤ 2θ ≤ 80°:
Position (°2θ)	Rel. int.
13.66	15
15.63	42
21.93	16
28.32	14
29.42	100
30.83	14
41.81	14
42.36	28
50.83	14
53.97	24

Cell and atoms:
```
KVSe2
1.0
5.800 0.000 0.000
0.000 6.481 3.151
0.000 -6.481 3.151
K V Se
2 2 4
Cartesian
1.450 -3.384 3.151
4.350 3.384 3.151
0.000 0.000 4.532
2.900 0.000 4.532
1.450 1.334 3.194
1.450 5.193 2.763
4.350 -5.193 2.763
4.350 -1.334 3.194
```

Entry 3:
Structure and calculated X-ray powder pattern of La5Pm5Bi6 (a crystal structure in Alexandria, relaxed with PBE; copper Kα).
Neutral-atom scattering factors, no anomalous dispersion.

Largest 10 diffraction maxima, low angle first, 10° ≤ 2θ ≤ 80°:
Position (°2θ)	Rel. int.
22.87	18
26.90	34
31.47	86
31.55	40
32.21	26
32.33	52
32.84	100
50.49	34
55.48	20
65.64	22

Cell and atoms:
```
La5Pm5Bi6
1.0
6.628 0.000 0.000
0.000 8.338 4.791
0.000 -8.338 4.791
La Pm Bi
5 5 6
Cartesian
0.000 0.000 0.000
1.659 -2.767 7.145
1.659 2.767 7.145
4.969 -2.767 7.145
4.969 2.767 7.145
0.000 -2.078 3.544
0.000 2.078 3.544
3.314 -6.252 5.957
3.314 0.000 4.691
3.314 6.252 5.957
0.000 -5.112 5.315
0.000 0.000 5.993
0.000 5.112 5.315
3.314 -3.192 4.186
3.314 3.192 4.186
3.314 0.000 8.275
```

Entry 4:
Structure and calculated X-ray powder pattern of Li4SiGe3O10 (a crystal structure in Alexandria, relaxed with PBE; copper Kα).
Neutral-atom scattering factors, no anomalous dispersion.

Largest 10 diffraction maxima, low angle first, 10° ≤ 2θ ≤ 80°:
Position (°2θ)	Rel. int.
11.62	9
14.50	46
18.68	15
23.36	48
23.70	100
27.52	18
27.69	10
34.88	17
35.86	23
45.68	13

Cell and atoms:
```
Li4SiGe3O10
1.0
5.008 0.000 0.000
0.010 6.109 0.000
2.470 0.052 7.615
Li Si Ge O
4 1 3 10
Cartesian
0.000 0.000 0.000
2.462 4.349 5.874
2.512 4.285 0.044
4.974 0.046 5.908
2.432 1.229 4.613
2.482 1.172 1.411
4.932 3.107 4.602
4.986 3.111 1.352
1.929 0.155 5.687
1.676 2.721 4.811
2.158 0.695 3.081
1.744 2.809 1.174
1.947 0.042 0.241
4.065 1.535 4.828
4.432 4.266 5.760
4.623 3.720 2.974
4.248 1.465 1.180
4.456 4.223 0.164
```

Entry 5:
Structure and calculated X-ray powder pattern of AlHRh4 (a crystal structure in Alexandria, relaxed with PBE; copper Kα).
Neutral-atom scattering factors, no anomalous dispersion.

Largest 10 diffraction maxima, low angle first, 10° ≤ 2θ ≤ 80°:
Position (°2θ)	Rel. int.
18.04	15
33.19	51
36.55	19
42.39	100
45.16	23
46.25	21
59.44	9
60.34	9
66.63	14
75.70	16

Cell and atoms:
```
AlHRh4
1.0
3.926 0.000 0.000
0.000 4.016 0.000
0.000 -2.007 4.917
Al H Rh
1 1 4
Cartesian
0.000 0.000 0.000
1.969 0.012 3.545
0.000 0.000 3.495
0.000 2.008 1.442
1.963 0.004 1.519
1.963 2.009 3.345
```

Entry 6:
Structure and calculated X-ray powder pattern of Nd4BiPt2 (a crystal structure in Alexandria, relaxed with PBE; copper Kα).
Neutral-atom scattering factors, no anomalous dispersion.

Largest 10 diffraction maxima, low angle first, 10° ≤ 2θ ≤ 80°:
Position (°2θ)	Rel. int.
23.12	35
29.79	96
29.91	76
30.82	100
35.51	84
35.81	45
36.30	28
48.18	24
49.66	33
50.19	36

Cell and atoms:
```
Nd4BiPt2
1.0
-4.742 4.742 4.571
4.742 -4.742 4.571
4.742 4.742 -4.571
Nd Bi Pt
8 2 4
Cartesian
4.148 -3.066 3.006
5.336 1.676 -0.721
7.808 -0.594 1.565
1.676 0.594 1.565
1.676 4.148 0.721
3.066 0.594 5.292
5.336 3.066 3.006
-0.594 3.066 3.851
4.742 0.000 2.286
0.000 0.000 4.571
-0.914 2.371 1.143
2.371 3.828 3.428
0.914 7.113 1.143
-2.371 5.656 3.428
```

Entry 7:
Structure and calculated X-ray powder pattern of Al6Tl (a crystal structure in Alexandria, relaxed with PBE; copper Kα).
Neutral-atom scattering factors, no anomalous dispersion.

Largest 10 diffraction maxima, low angle first, 10° ≤ 2θ ≤ 80°:
Position (°2θ)	Rel. int.
17.02	57
24.16	42
29.70	100
38.65	16
46.10	60
49.49	12
55.81	17
58.79	15
64.49	11
69.94	18

Cell and atoms:
```
Al6Tl
1.0
-3.684 3.684 3.684
3.684 -3.684 3.684
3.684 3.684 -3.684
Al Tl
6 1
Cartesian
3.684 1.842 0.000
3.684 0.000 1.842
1.842 3.684 0.000
1.842 0.000 3.684
0.000 3.684 1.842
0.000 1.842 3.684
0.000 0.000 0.000
```